No. 1
BeAlW2: calculated PXRD pattern (Cu Kα X-rays), based on a cell relaxed with PBE.
No peak broadening, texture or thermal motion is included.

The 6 most intense peaks (10° ≤ 2θ ≤ 90°), in order of rising 2θ:
d/Å	two_theta	I (rel.)
3.986	22.3	80
2.676	33.5	58
2.222	40.6	100
1.892	48.1	31
1.709	53.6	31
1.598	57.7	25

Crystal structure
a b c (Å): 2.678 3.986 5.349
angles (deg): 90.00 90.00 90.00
Fractional positions:
Be  0.000  0.000  0.000
Al  0.000  0.000  0.500
W  0.500  0.500  0.243
W  0.500  0.500  0.757

No. 2
SrYAs2Pd5: calculated PXRD pattern (Cu Kα X-rays), based on a cell relaxed with PBE.
No peak broadening, texture or thermal motion is included.

The 6 most intense peaks (10° ≤ 2θ ≤ 90°), in order of rising 2θ:
d/Å	two_theta	I (rel.)
2.548	35.2	100
2.189	41.2	51
2.152	42.0	14
1.548	59.7	17
1.347	69.8	15
1.323	71.3	26

Crystal structure
a b c (Å): 4.378 4.378 8.977
angles (deg): 90.00 90.00 90.00
Fractional positions:
Sr  0.000  0.000  0.000
Y  0.000  0.000  0.500
As  0.500  0.500  0.362
As  0.500  0.500  0.638
Pd  0.000  0.500  0.238
Pd  0.000  0.500  0.762
Pd  0.500  0.000  0.238
Pd  0.500  0.000  0.762
Pd  0.500  0.500  0.000

No. 3
BaMo5: calculated PXRD pattern (Cu Kα X-rays), based on a cell relaxed with PBE.
No peak broadening, texture or thermal motion is included.

The 6 most intense peaks (10° ≤ 2θ ≤ 90°), in order of rising 2θ:
d/Å	two_theta	I (rel.)
2.956	30.2	26
2.560	35.1	36
2.402	37.4	100
2.174	41.5	28
1.577	58.5	26
1.201	79.9	23

Crystal structure
a b c (Å): 5.912 5.912 4.120
angles (deg): 90.00 90.00 120.00
Fractional positions:
Ba  0.000  0.000  0.000
Mo  0.000  0.500  0.500
Mo  0.333  0.667  0.000
Mo  0.500  0.000  0.500
Mo  0.500  0.500  0.500
Mo  0.667  0.333  0.000

No. 4
Ho3TmZn8: calculated PXRD pattern (Cu Kα X-rays), based on a cell relaxed with PBE.
No peak broadening, texture or thermal motion is included.

The 6 most intense peaks (10° ≤ 2θ ≤ 90°), in order of rising 2θ:
d/Å	two_theta	I (rel.)
2.723	32.9	40
2.712	33.0	40
2.320	38.8	100
2.312	39.0	33
1.571	58.8	23
1.481	62.8	32

Crystal structure
a b c (Å): 9.384 9.384 9.384
angles (deg): 33.74 33.74 33.74
Fractional positions:
Ho  0.000  0.000  0.000
Ho  0.125  0.125  0.125
Ho  0.500  0.500  0.500
Tm  0.625  0.625  0.625
Zn  0.062  0.562  0.562
Zn  0.063  0.063  0.563
Zn  0.063  0.563  0.063
Zn  0.313  0.313  0.313
Zn  0.562  0.062  0.562
Zn  0.562  0.562  0.062
Zn  0.563  0.063  0.063
Zn  0.812  0.812  0.812

No. 5
Pm3Hg4Au2: calculated PXRD pattern (Cu Kα X-rays), based on a cell relaxed with PBE.
No peak broadening, texture or thermal motion is included.

The 6 most intense peaks (10° ≤ 2θ ≤ 90°), in order of rising 2θ:
d/Å	two_theta	I (rel.)
3.456	25.8	17
2.699	33.2	52
2.680	33.4	49
2.473	36.3	100
1.428	65.4	18
1.416	65.9	12

Crystal structure
a b c (Å): 6.060 6.060 9.201
angles (deg): 116.53 116.53 48.17
Fractional positions:
Pm  0.000  0.000  0.000
Pm  0.330  0.330  0.340
Pm  0.670  0.670  0.660
Hg  0.051  0.051  0.383
Hg  0.282  0.282  0.945
Hg  0.718  0.718  0.055
Hg  0.949  0.949  0.617
Au  0.394  0.394  0.725
Au  0.606  0.606  0.275

No. 6
BaNaZn2F8: calculated PXRD pattern (Cu Kα X-rays), based on a cell relaxed with PBE.
No peak broadening, texture or thermal motion is included.

The 6 most intense peaks (10° ≤ 2θ ≤ 90°), in order of rising 2θ:
d/Å	two_theta	I (rel.)
5.122	17.3	16
3.318	26.9	100
2.041	44.4	31
2.013	45.0	17
1.757	52.1	16
1.722	53.2	32

Crystal structure
a b c (Å): 7.107 7.107 7.107
angles (deg): 132.76 132.76 69.03
Fractional positions:
Ba  0.000  0.000  0.000
Na  0.250  0.750  0.500
Zn  0.500  0.500  0.000
Zn  0.750  0.250  0.500
F  0.277  0.676  0.112
F  0.324  0.436  0.602
F  0.432  0.007  0.083
F  0.564  0.165  0.888
F  0.652  0.568  0.576
F  0.835  0.723  0.398
F  0.924  0.348  0.917
F  0.993  0.076  0.424

No. 7
SiAg2AuSe4: calculated PXRD pattern (Cu Kα X-rays), based on a cell relaxed with PBE.
No peak broadening, texture or thermal motion is included.

The 6 most intense peaks (10° ≤ 2θ ≤ 90°), in order of rising 2θ:
d/Å	two_theta	I (rel.)
5.272	16.8	15
3.404	26.2	100
2.085	43.4	70
1.778	51.4	29
1.777	51.4	14
1.353	69.5	17

Crystal structure
a b c (Å): 7.228 7.227 5.892
angles (deg): 65.95 65.94 48.11
Fractional positions:
Si  0.000  0.000  0.000
Ag  0.250  0.250  0.250
Ag  0.750  0.750  0.750
Au  0.501  0.501  0.499
Se  0.115  0.660  0.340
Se  0.340  0.886  0.660
Se  0.660  0.115  0.885
Se  0.886  0.340  0.114

No. 8
NaLaHg6: calculated PXRD pattern (Cu Kα X-rays), based on a cell relaxed with PBE.
No peak broadening, texture or thermal motion is included.

The 6 most intense peaks (10° ≤ 2θ ≤ 90°), in order of rising 2θ:
d/Å	two_theta	I (rel.)
2.940	30.4	25
2.608	34.4	23
2.561	35.0	100
1.697	54.0	19
1.496	62.0	20
1.422	65.6	22

Crystal structure
a b c (Å): 5.215 6.786 6.786
angles (deg): 60.09 90.00 90.00
Fractional positions:
Na  0.000  0.000  0.000
La  0.500  0.668  0.668
Hg  0.000  0.013  0.494
Hg  0.000  0.494  0.013
Hg  0.000  0.495  0.495
Hg  0.500  0.168  0.168
Hg  0.500  0.169  0.666
Hg  0.500  0.666  0.169

No. 9
Tl3I3Br: calculated PXRD pattern (Cu Kα X-rays), based on a cell relaxed with PBE.
No peak broadening, texture or thermal motion is included.

The 6 most intense peaks (10° ≤ 2θ ≤ 90°), in order of rising 2θ:
d/Å	two_theta	I (rel.)
3.957	22.5	100
3.121	28.6	35
3.064	29.1	28
3.028	29.5	54
2.611	34.3	21
2.199	41.0	24

Crystal structure
a b c (Å): 8.736 9.175 9.177
angles (deg): 117.34 93.40 93.52
Fractional positions:
Tl  0.240  0.398  0.399
Tl  0.258  0.586  0.961
Tl  0.258  0.960  0.585
Tl  0.742  0.040  0.415
Tl  0.742  0.414  0.039
Tl  0.760  0.602  0.601
I  0.000  0.243  0.756
I  0.000  0.757  0.244
I  0.400  0.106  0.107
I  0.500  0.341  0.660
I  0.500  0.659  0.340
I  0.600  0.894  0.893
Br  0.133  0.685  0.685
Br  0.867  0.315  0.315